No. 1
Simulated X-ray powder pattern of Ba3HoIrRuO9 for Cu Kα, from a DFT-relaxed cell (PBE, Alexandria).

Atomic structure:
```
Ba3HoIrRuO9
1.0
5.9453 0.0000 0.0000
-2.9727 5.1488 0.0000
0.0000 0.0000 14.6543
Ba Ho Ir Ru O
6 2 2 2 18
direct
0.0000 0.0000 0.0000
0.0000 0.0000 0.5000
0.3333 0.6667 0.1590
0.3333 0.6667 0.8431
0.6667 0.3333 0.3431
0.6667 0.3333 0.6590
0.0000 0.0000 0.2504
0.0000 0.0000 0.7504
0.3333 0.6667 0.4137
0.6667 0.3333 0.9137
0.3333 0.6667 0.5864
0.6667 0.3333 0.0864
0.0206 0.5103 0.5000
0.1759 0.3518 0.3351
0.1758 0.3517 0.6617
0.1759 0.8241 0.3351
0.1758 0.8242 0.6617
0.3517 0.1758 0.1617
0.3518 0.1759 0.8351
0.4897 0.5103 0.5000
0.4897 0.9794 0.5000
0.5103 0.0206 0.0000
0.5103 0.4897 0.0000
0.6482 0.8241 0.3351
0.6483 0.8242 0.6617
0.8242 0.1758 0.1617
0.8241 0.1759 0.8351
0.8242 0.6483 0.1617
0.8241 0.6482 0.8351
0.9794 0.4897 0.0000
```

Peak list (10 most intense, 10° ≤ 2θ ≤ 80°, low angle first)
2θ/deg  I (rel.)
18.3  16
25.1  18
29.9  62
30.1  100
35.2  15
39.6  13
42.9  34
46.8  12
53.3  44
62.5  18



No. 2
Simulated X-ray powder pattern of Ba5Li2Te3O15 for Cu Kα, from a DFT-relaxed cell (PBE, Alexandria).

Atomic structure:
```
Ba5Li2Te3O15
1.0
-6.6353 6.6353 4.1326
6.6353 -6.6353 4.1326
6.6353 6.6353 -4.1326
Ba Li Te O
10 4 6 30
direct
0.0415 0.1421 0.6911
0.1421 0.4510 0.1007
0.2500 0.7500 0.5000
0.3504 0.0415 0.8993
0.4510 0.3504 0.3089
0.5490 0.6496 0.6911
0.6496 0.9585 0.1007
0.7500 0.2500 0.5000
0.8579 0.5490 0.8993
0.9585 0.8579 0.3089
0.0938 0.3021 0.3959
0.3021 0.9062 0.2083
0.6979 0.0938 0.7917
0.9062 0.6979 0.6041
0.0000 0.0000 0.0000
0.1939 0.5988 0.7927
0.4012 0.1939 0.5951
0.5000 0.5000 0.0000
0.5988 0.8061 0.4049
0.8061 0.4012 0.2073
0.0269 0.6369 0.1987
0.0462 0.1369 0.1830
0.0567 0.6437 0.7004
0.1369 0.9538 0.0907
0.1598 0.4574 0.6172
0.1717 0.9731 0.6099
0.2496 0.7335 0.9831
0.2573 0.2573 0.0000
0.2665 0.2496 0.5162
0.3563 0.0567 0.4129
0.3610 0.5451 0.9061
0.3631 0.5618 0.3901
0.4382 0.8283 0.8013
0.4549 0.3610 0.8158
0.4574 0.8402 0.2976
0.5426 0.1598 0.7024
0.5451 0.6390 0.1842
0.5618 0.1717 0.1987
0.6369 0.4382 0.6099
0.6390 0.4549 0.0939
0.6437 0.9433 0.5871
0.7335 0.7504 0.4838
0.7427 0.7427 0.0000
0.7504 0.2665 0.0169
0.8283 0.0269 0.3901
0.8402 0.5426 0.3828
0.8631 0.0462 0.9093
0.9433 0.3563 0.2996
0.9538 0.8631 0.8170
0.9731 0.3631 0.8013
```

Peak list (10 most intense, 10° ≤ 2θ ≤ 80°, low angle first)
2θ/deg  I (rel.)
18.4  27
30.1  51
30.4  100
37.3  16
43.1  32
43.8  16
53.6  40
54.1  20
62.6  10
63.2  19



No. 3
Simulated X-ray powder pattern of La2Ce2Ge2Cl3 for Cu Kα, from a DFT-relaxed cell (PBE, Alexandria).

Atomic structure:
```
La2Ce2Ge2Cl3
1.0
-2.5489 2.5489 9.4444
2.5489 -2.5489 9.4444
2.5489 2.5489 -9.4444
La Ce Ge Cl
2 2 2 3
direct
0.1612 0.1612 0.0000
0.8388 0.8388 0.0000
0.0000 0.5000 0.5000
0.5000 0.0000 0.5000
0.4032 0.4032 0.0000
0.5968 0.5968 0.0000
0.0000 0.0000 0.0000
0.2500 0.7500 0.5000
0.7500 0.2500 0.5000
```

Peak list (10 most intense, 10° ≤ 2θ ≤ 80°, low angle first)
2θ/deg  I (rel.)
22.4  25
26.5  23
29.4  26
31.2  100
35.2  66
37.7  14
45.8  14
46.5  14
50.6  23
60.7  29



No. 4
Simulated X-ray powder pattern of LiAcTlAg3 for Cu Kα, from a DFT-relaxed cell (PBE, Alexandria).

Atomic structure:
```
LiAcTlAg3
1.0
3.0657 -6.8128 0.0000
3.0657 6.8128 0.0000
0.0000 0.0000 6.7941
Li Ac Tl Ag
2 2 2 6
direct
0.0775 0.9225 0.7500
0.9225 0.0775 0.2500
0.3078 0.6922 0.7500
0.6922 0.3078 0.2500
0.3500 0.6500 0.2500
0.6500 0.3500 0.7500
0.1288 0.8712 0.2500
0.2651 0.2651 0.0000
0.2651 0.2651 0.5000
0.7349 0.7349 0.0000
0.7349 0.7349 0.5000
0.8712 0.1288 0.7500
```

Peak list (10 most intense, 10° ≤ 2θ ≤ 80°, low angle first)
2θ/deg  I (rel.)
15.8  21
24.4  34
27.7  35
29.4  62
32.0  45
36.1  49
37.4  33
39.6  100
57.3  24
69.0  18